Record 1
Structure and computed X-ray powder pattern of La6DyTl2 (DFT lattice parameters and positions (GGA-PBE); Cu Ka).
Intensities are scaled so that the largest is 100.

Structural model:
```
La6DyTl2
1.0
8.181 -6.027 0.000
8.181 6.027 0.000
-0.962 0.000 5.983
La Dy Tl
12 2 4
Cartesian
6.342 4.650 5.716
4.114 1.462 0.969
8.576 4.650 3.260
5.625 1.292 4.170
3.633 -1.462 3.961
6.106 -1.292 1.178
9.293 1.292 4.806
11.766 1.462 2.023
9.774 -1.292 1.814
6.823 -4.650 2.724
11.285 -1.462 5.015
9.057 -4.650 0.268
7.940 1.790 1.496
7.459 -1.790 4.488
1.960 1.674 3.625
2.441 -1.674 0.633
12.958 1.674 5.350
13.439 -1.674 2.358
```

Main lines, most intense first (15° ≤ 2θ ≤ 90°):
2θ/deg, I (rel.)
32.27, 100
29.65, 58
30.43, 57
30.20, 56
37.17, 31
36.98, 29
54.28, 17
54.91, 16
51.91, 13
48.25, 13

=====

Record 2
Structure and computed X-ray powder pattern of La5DyTl3 (DFT lattice parameters and positions (GGA-PBE); Cu Ka).
Intensities are scaled so that the largest is 100.

Structural model:
```
La5DyTl3
1.0
9.726 0.000 0.000
-4.863 8.423 0.000
0.000 0.000 7.050
La Dy Tl
10 2 6
Cartesian
-1.665 2.884 1.762
-3.198 5.539 5.287
0.000 5.615 0.000
0.000 5.615 3.525
3.330 0.000 1.762
1.665 2.884 5.287
6.396 0.000 5.287
3.198 5.539 1.762
4.863 2.808 0.000
4.863 2.808 3.525
0.000 0.000 0.000
0.000 0.000 3.525
-1.554 2.691 5.287
-3.309 5.732 1.762
3.107 0.000 5.287
1.554 2.691 1.762
6.618 0.000 1.762
3.309 5.732 5.287
```

Main lines, most intense first (15° ≤ 2θ ≤ 90°):
2θ/deg, I (rel.)
31.88, 100
31.34, 90
56.46, 33
45.31, 32
62.19, 30
56.80, 19
41.10, 15
80.51, 14
75.47, 14
66.62, 11

=====

Record 3
Structure and computed X-ray powder pattern of La2Dy3Tl (DFT lattice parameters and positions (GGA-PBE); Cu Ka).
Intensities are scaled so that the largest is 100.

Structural model:
```
La2Dy3Tl
1.0
2.925 -5.492 0.000
2.925 5.492 0.000
0.000 0.000 5.864
La Dy Tl
2 3 1
Cartesian
2.925 3.742 0.000
2.925 -3.742 0.000
0.000 0.000 2.932
2.925 1.725 2.932
2.925 -1.725 2.932
2.925 0.000 0.000
```

Main lines, most intense first (15° ≤ 2θ ≤ 90°):
2θ/deg, I (rel.)
32.65, 100
30.53, 61
55.61, 44
43.72, 23
59.56, 17
68.40, 11
73.29, 10
49.81, 7
82.38, 6
89.29, 6